This entry pairs a crystal structure of CeSmHoAg with its theoretical powder diffraction line list. Radiation: Cu Kα (weighted mean of Kα1 and Kα2). Structure: a crystal structure in Alexandria, relaxed with GGA-PBE.
Neutral-atom scattering factors, no anomalous dispersion.

Crystal structure
Cell: 7.5351 7.5351 7.5351 Å, 90.00 90.00 90.00°
Space group F-43m (No. 216)
One atom of each set of equivalent atoms:
Ce  0.0000  0.0000  0.0000 [4 per cell]
Sm  0.2500  0.2500  0.7500 [4 per cell]
Ho  0.2500  0.2500  0.2500 [4 per cell]
Ag  0.0000  0.0000  0.5000 [4 per cell]

Top 6 peaks for 2θ = 5–70°, low angle first:
h k l  2θ/deg  Rel. int.
1 1 1  20.41  1
2 0 0  23.61  1
2 2 0  33.64  100
4 0 0  48.31  18
4 2 0  54.46  1
4 2 2  60.16  37

This entry pairs a crystal structure of CeAgI4 with its theoretical powder diffraction line list. Radiation: Cu Kα (weighted mean of Kα1 and Kα2). Structure: a crystal structure in Alexandria, relaxed with GGA-PBE.
Neutral-atom scattering factors, no anomalous dispersion.

Crystal structure
Cell: 7.6211 4.4980 7.6739 Å, 90.00 95.59 90.00°
Space group P2/m (No. 10)
One atom of each set of equivalent atoms:
Ce  0.0000  0.0000  0.0000 [1 per cell]
Ag  0.0000  0.5000  0.5000 [1 per cell]
I  0.2189  0.0000  0.6759 [2 per cell]
I  0.2548  0.5000  0.1719 [2 per cell]

Top 8 peaks for 2θ = 5–70°, low angle first:
h k l  2θ/deg  Rel. int.
1 0 0  11.67  62
1 0 -2  25.07  50
1 1 1  26.33  100
2 0 -2  31.59  24
2 1 -1  32.20  21
2 1 1  33.88  34
0 1 3  40.72  38
3 1 -1  41.68  32

This entry pairs a crystal structure of Ce7AgI12 with its theoretical powder diffraction line list. Radiation: Cu Kα (weighted mean of Kα1 and Kα2). Structure: a crystal structure in Alexandria, relaxed with GGA-PBE.
Neutral-atom scattering factors, no anomalous dispersion.

Crystal structure
Cell: 16.3071 16.3071 10.7306 Å, 90.00 90.00 120.00°
Space group R-3 (No. 148, hexagonal axes)
One atom of each set of equivalent atoms:
Ce  0.0000  0.0000  0.0000 [3 per cell]
Ce  0.0470  0.1672  0.3346 [18 per cell]
Ag  0.0000  0.0000  0.5000 [3 per cell]
I  0.0247  0.5884  0.1645 [18 per cell]
I  0.0527  0.1884  0.8430 [18 per cell]

Top 8 peaks for 2θ = 5–70°, low angle first:
h k l  2θ/deg  Rel. int.
1 1 0  10.85  15
4 -3 1  24.19  13
3 1 2  28.21  100
2 5 0  39.86  38
4 -3 4  40.77  36
8 -6 2  49.55  20
5 6 2  65.39  16
2 5 6  66.68  16

This entry pairs a crystal structure of Ce2InAg2 with its theoretical powder diffraction line list. Radiation: Cu Kα (weighted mean of Kα1 and Kα2). Structure: a crystal structure in Alexandria, relaxed with GGA-PBE.
Neutral-atom scattering factors, no anomalous dispersion.

Crystal structure
Cell: 15.7601 5.8305 5.2386 Å, 90.00 98.25 90.00°
Space group C2/c (No. 15)
One atom of each set of equivalent atoms:
Ce  0.1149  0.1380  0.3031 [8 per cell]
In  0.0000  0.3478  0.7500 [4 per cell]
Ag  0.1964  0.3807  0.8252 [8 per cell]

Top 8 peaks for 2θ = 5–70°, low angle first:
h k l  2θ/deg  Rel. int.
3 1 1  30.21  16
5 1 0  32.55  59
0 0 2  34.60  38
5 1 -1  34.93  77
0 2 1  35.32  100
5 1 1  38.95  40
5 1 -2  44.91  16
5 3 0  55.73  20

This entry pairs a crystal structure of CeIn6Ag with its theoretical powder diffraction line list. Radiation: Cu Kα (weighted mean of Kα1 and Kα2). Structure: a crystal structure in Alexandria, relaxed with GGA-PBE.
Neutral-atom scattering factors, no anomalous dispersion.

Crystal structure
Cell: 7.8454 10.8730 4.8103 Å, 90.00 90.00 90.00°
Space group Cmmm (No. 65)
One atom of each set of equivalent atoms:
Ce  0.0000  0.0000  0.0000 [2 per cell]
In  0.0000  0.2161  0.5000 [4 per cell]
In  0.2024  0.5000  0.5000 [4 per cell]
In  0.2500  0.2500  0.0000 [4 per cell]
Ag  0.0000  0.5000  0.0000 [2 per cell]

Top 8 peaks for 2θ = 5–70°, low angle first:
h k l  2θ/deg  Rel. int.
0 4 0  32.96  33
2 2 1  33.78  100
0 0 2  37.39  22
4 0 0  46.29  8
0 4 2  50.68  15
2 6 1  59.37  13
4 0 2  60.95  7
2 2 3  65.15  14

This entry pairs a crystal structure of Ce8In2Ag with its theoretical powder diffraction line list. Radiation: Cu Kα (weighted mean of Kα1 and Kα2). Structure: a crystal structure in Alexandria, relaxed with GGA-PBE.
Neutral-atom scattering factors, no anomalous dispersion.

Crystal structure
Cell: 5.3620 6.8844 8.8100 Å, 71.33 74.38 87.18°
Space group P-1 (No. 2)
One atom of each set of equivalent atoms:
Ce  0.0312  0.1899  0.0042 [2 per cell]
Ce  0.2179  0.6512  0.6245 [2 per cell]
Ce  0.3452  0.6237  0.3077 [2 per cell]
Ce  0.3689  0.0585  0.2141 [2 per cell]
In  0.2012  0.1584  0.5985 [2 per cell]
Ag  0.5000  0.5000  0.0000 [1 per cell]

Top 8 peaks for 2θ = 5–70°, low angle first:
h k l  2θ/deg  Rel. int.
0 2 2  29.26  27
-1 1 2  31.25  23
1 0 -2  31.67  37
1 1 3  31.95  24
1 2 0  33.11  77
1 0 3  33.28  31
2 0 1  33.50  100
1 -2 1  35.20  57

This entry pairs a crystal structure of Ce3In3Ag2 with its theoretical powder diffraction line list. Radiation: Cu Kα (weighted mean of Kα1 and Kα2). Structure: a crystal structure in Alexandria, relaxed with GGA-PBE.
Neutral-atom scattering factors, no anomalous dispersion.

Crystal structure
Cell: 17.6835 4.8335 4.8704 Å, 90.00 105.86 90.00°
Space group C2/m (No. 12)
One atom of each set of equivalent atoms:
Ce  0.0000  0.0000  0.0000 [2 per cell]
Ce  0.1344  0.0000  0.6354 [4 per cell]
In  0.0000  0.5000  0.5000 [2 per cell]
In  0.1441  0.5000  0.1446 [4 per cell]
Ag  0.2458  0.0000  0.2462 [4 per cell]

Top 8 peaks for 2θ = 5–70°, low angle first:
h k l  2θ/deg  Rel. int.
5 1 -1  33.56  100
2 0 -2  36.91  21
0 2 0  37.20  20
8 0 0  42.51  10
2 2 -2  53.41  14
8 2 0  57.75  8
7 1 -3  64.43  7
5 3 -1  64.77  14

This entry pairs a crystal structure of Ce2In5Ag3 with its theoretical powder diffraction line list. Radiation: Cu Kα (weighted mean of Kα1 and Kα2). Structure: a crystal structure in Alexandria, relaxed with GGA-PBE.
Neutral-atom scattering factors, no anomalous dispersion.

Crystal structure
Cell: 11.8708 12.9707 6.4998 Å, 90.00 90.00 90.00°
Space group Ibam (No. 72)
One atom of each set of equivalent atoms:
Ce  0.2378  0.1322  0.0000 [8 per cell]
In  0.0000  0.0000  0.2500 [4 per cell]
In  0.0000  0.2635  0.2500 [8 per cell]
In  0.1525  0.3935  0.0000 [8 per cell]
Ag  0.0000  0.5000  0.2500 [4 per cell]
Ag  0.1264  0.1327  0.5000 [8 per cell]

Top 8 peaks for 2θ = 5–70°, low angle first:
h k l  2θ/deg  Rel. int.
3 2 1  29.81  41
2 0 2  31.41  100
0 4 2  39.25  58
4 0 2  41.21  25
5 2 1  42.88  27
3 2 3  50.05  18
5 2 3  59.52  18
2 4 4  66.27  20

This entry pairs a crystal structure of La2CeIn2Ag2 with its theoretical powder diffraction line list. Radiation: Cu Kα (weighted mean of Kα1 and Kα2). Structure: a crystal structure in Alexandria, relaxed with GGA-PBE.
Neutral-atom scattering factors, no anomalous dispersion.

Crystal structure
Cell: 4.9720 4.9720 27.1438 Å, 90.00 90.00 120.00°
Space group R-3m (No. 166, hexagonal axes)
One atom of each set of equivalent atoms:
La  0.0000  0.0000  0.1259 [6 per cell]
Ce  0.0000  0.0000  0.0000 [3 per cell]
In  0.0000  0.0000  0.2660 [6 per cell]
Ag  0.0000  0.0000  0.3936 [6 per cell]

Top 8 peaks for 2θ = 5–70°, low angle first:
h k l  2θ/deg  Rel. int.
1 0 7  31.04  49
0 1 8  33.63  80
1 1 0  36.13  100
0 2 7  48.36  15
2 0 8  50.19  26
1 2 8  63.39  25
1 1 15  63.60  29
3 0 0  64.98  17

This entry pairs a crystal structure of CeMgIn4Ag2 with its theoretical powder diffraction line list. Radiation: Cu Kα (weighted mean of Kα1 and Kα2). Structure: a crystal structure in Alexandria, relaxed with GGA-PBE.
Neutral-atom scattering factors, no anomalous dispersion.

Crystal structure
Cell: 4.8883 4.8883 27.4959 Å, 90.00 90.00 120.00°
Space group R-3m (No. 166, hexagonal axes)
One atom of each set of equivalent atoms:
Ce  0.0000  0.0000  0.0000 [3 per cell]
Mg  0.0000  0.0000  0.5000 [3 per cell]
In  0.0000  0.0000  0.1253 [6 per cell]
In  0.0000  0.0000  0.3893 [6 per cell]
Ag  0.0000  0.0000  0.2472 [6 per cell]

Top 8 peaks for 2θ = 5–70°, low angle first:
h k l  2θ/deg  Rel. int.
0 1 5  26.57  10
1 0 7  31.06  9
0 1 8  33.59  100
1 1 0  36.77  90
2 0 8  50.65  30
1 0 16  57.91  13
1 2 8  64.21  29
3 0 0  66.23  15

This entry pairs a crystal structure of CeNd2In2Ag2 with its theoretical powder diffraction line list. Radiation: Cu Kα (weighted mean of Kα1 and Kα2). Structure: a crystal structure in Alexandria, relaxed with GGA-PBE.
Neutral-atom scattering factors, no anomalous dispersion.

Crystal structure
Cell: 4.9439 4.9439 26.9827 Å, 90.00 90.00 120.00°
Space group R-3m (No. 166, hexagonal axes)
One atom of each set of equivalent atoms:
Ce  0.0000  0.0000  0.0000 [3 per cell]
Nd  0.0000  0.0000  0.1255 [6 per cell]
In  0.0000  0.0000  0.2637 [6 per cell]
Ag  0.0000  0.0000  0.3966 [6 per cell]

Top 8 peaks for 2θ = 5–70°, low angle first:
h k l  2θ/deg  Rel. int.
1 0 7  31.22  51
0 1 8  33.83  79
1 1 0  36.34  100
0 2 7  48.65  15
2 0 8  50.49  25
1 2 8  63.79  24
1 1 15  64.01  29
3 0 0  65.39  17

This entry pairs a crystal structure of CeInAgRu with its theoretical powder diffraction line list. Radiation: Cu Kα (weighted mean of Kα1 and Kα2). Structure: a crystal structure in Alexandria, relaxed with GGA-PBE.
Neutral-atom scattering factors, no anomalous dispersion.

Crystal structure
Cell: 6.9077 6.9077 6.9077 Å, 90.00 90.00 90.00°
Space group F-43m (No. 216)
One atom of each set of equivalent atoms:
Ce  0.0000  0.0000  0.0000 [4 per cell]
In  0.0000  0.0000  0.5000 [4 per cell]
Ag  0.2500  0.2500  0.7500 [4 per cell]
Ru  0.2500  0.2500  0.2500 [4 per cell]

Top 5 peaks for 2θ = 5–70°, low angle first:
h k l  2θ/deg  Rel. int.
1 1 1  22.29  1
2 0 0  25.79  1
2 2 0  36.80  100
4 0 0  53.03  17
4 2 2  66.29  34

This entry pairs a crystal structure of Ce2SmIn2Ag2 with its theoretical powder diffraction line list. Radiation: Cu Kα (weighted mean of Kα1 and Kα2). Structure: a crystal structure in Alexandria, relaxed with GGA-PBE.
Neutral-atom scattering factors, no anomalous dispersion.

Crystal structure
Cell: 4.7610 4.7610 26.8799 Å, 90.00 90.00 120.00°
Space group R-3m (No. 166, hexagonal axes)
One atom of each set of equivalent atoms:
Ce  0.0000  0.0000  0.1417 [6 per cell]
Sm  0.0000  0.0000  0.0000 [3 per cell]
In  0.0000  0.0000  0.2660 [6 per cell]
Ag  0.0000  0.0000  0.4158 [6 per cell]

Top 8 peaks for 2θ = 5–70°, low angle first:
h k l  2θ/deg  Rel. int.
1 0 7  31.85  100
0 1 8  34.43  21
1 1 0  37.79  83
0 2 7  50.23  27
0 1 14  52.58  10
2 1 7  64.53  25
1 1 15  65.16  15
3 0 0  68.24  14

This entry pairs a crystal structure of CeInAgSn with its theoretical powder diffraction line list. Radiation: Cu Kα (weighted mean of Kα1 and Kα2). Structure: a crystal structure in Alexandria, relaxed with GGA-PBE.
Neutral-atom scattering factors, no anomalous dispersion.

Crystal structure
Cell: 4.5224 4.5420 4.8515 Å, 90.00 90.00 90.00°
Space group Pmmm (No. 47)
One atom of each set of equivalent atoms:
Ce  0.0000  0.0000  0.0000 [1 per cell]
In  0.0000  0.5000  0.5000 [1 per cell]
Ag  0.5000  0.0000  0.5000 [1 per cell]
Sn  0.5000  0.5000  0.0000 [1 per cell]

Top 8 peaks for 2θ = 5–70°, low angle first:
h k l  2θ/deg  Rel. int.
1 1 1  33.51  100
0 0 2  37.06  19
0 2 0  39.69  16
2 0 0  39.87  15
0 2 2  55.42  12
1 1 3  64.55  15
1 3 1  68.11  13
3 1 1  68.36  12